# 1
# SnS2O6F2
Theoretical powder X-ray diffraction pattern, Cu Kα, 1.54184 Å. Input: a cell relaxed with GGA-PBE.
Kinematic intensities with the Lorentz-polarization factor, no thermal factor.

Most intense lines, 2θ from 15° to 90°, in order of rising 2θ:
(0 1 2), 16.09 deg, I 37.1; (1 0 0), 17.50 deg, I 38.1; (1 1 0), 19.69 deg, I 53.3; (1 1 -3), 23.43 deg, I 64.6; (1 2 0), 25.19 deg, I 100.0; (1 2 -2), 25.52 deg, I 46.8; (1 2 1), 27.64 deg, I 42.6; (0 3 1), 27.99 deg, I 74.3; (0 1 4), 28.36 deg, I 93.4; (0 4 1), 37.08 deg, I 35.5

Atomic structure:
```
data_SnS2O6F2
_chemical_formula_sum 'Sn4 S8 O24 F8'
_cell_length_a 5.402
_cell_length_b 9.867
_cell_length_c 14.158
_cell_angle_alpha 90.00
_cell_angle_beta 110.27
_cell_angle_gamma 90.00
_space_group_name_H-M_alt 'P 1 21/c 1'
_space_group_IT_number 14
loop_
_space_group_symop_operation_xyz
'x,y,z'
'-x,-y,-z'
'-x,y+1/2,-z+1/2'
'x,-y+1/2,z+1/2'
loop_
_atom_site_label
_atom_site_fract_x
_atom_site_fract_y
_atom_site_fract_z
_atom_site_occupancy
Sn1 0.028 0.194 0.179 1
S1 0.171 0.183 0.939 1
S2 0.466 0.023 0.691 1
O1 0.042 0.055 0.905 1
O2 0.122 0.211 0.362 1
O3 0.160 0.234 0.034 1
O4 0.271 0.102 0.718 1
O5 0.323 0.597 0.826 1
O6 0.454 0.097 0.244 1
F1 0.300 0.540 0.084 1
F2 0.481 0.151 0.966 1
```



# 2
# TcSO6F
Theoretical powder X-ray diffraction pattern, Cu Kα, 1.54184 Å. Input: a cell relaxed with GGA-PBE.
Kinematic intensities with the Lorentz-polarization factor, no thermal factor.

Most intense lines, 2θ from 15° to 90°, in order of rising 2θ:
(1 1 0), 16.18 deg, I 99.4; (1 1 -1), 18.05 deg, I 46.5; (1 1 1), 19.65 deg, I 50.4; (0 2 0), 21.28 deg, I 43.7; (1 0 -2), 21.56 deg, I 66.0; (0 2 1), 23.41 deg, I 58.2; (1 1 -2), 24.08 deg, I 70.6; (1 0 2), 24.22 deg, I 100.0; (2 0 0), 24.55 deg, I 49.4; (2 1 -2), 31.31 deg, I 54.5

Atomic structure:
```
data_TcSO6F
_chemical_formula_sum 'Tc4 S4 O24 F4'
_cell_length_a 7.318
_cell_length_b 8.349
_cell_length_c 9.255
_cell_angle_alpha 90.00
_cell_angle_beta 97.27
_cell_angle_gamma 90.00
_space_group_name_H-M_alt 'P 1 21/c 1'
_space_group_IT_number 14
loop_
_space_group_symop_operation_xyz
'x,y,z'
'-x,-y,-z'
'-x,y+1/2,-z+1/2'
'x,-y+1/2,z+1/2'
loop_
_atom_site_label
_atom_site_fract_x
_atom_site_fract_y
_atom_site_fract_z
_atom_site_occupancy
Tc1 0.246 0.153 0.154 1
S1 0.415 0.725 0.574 1
O1 0.087 0.096 0.264 1
O2 0.148 0.111 0.981 1
O3 0.249 0.143 0.663 1
O4 0.360 0.602 0.672 1
O5 0.466 0.152 0.353 1
O6 0.471 0.665 0.438 1
F1 0.232 0.682 0.020 1
```



# 3
# Te2SO4F6
Theoretical powder X-ray diffraction pattern, Cu Kα, 1.54184 Å. Input: a cell relaxed with GGA-PBE.
Kinematic intensities with the Lorentz-polarization factor, no thermal factor.

Most intense lines, 2θ from 15° to 90°, in order of rising 2θ:
(0 0 2), 17.48 deg, I 30.5; (2 0 0), 19.59 deg, I 52.0; (2 0 1), 21.48 deg, I 52.0; (1 2 0), 21.89 deg, I 100.0; (1 1 2), 22.34 deg, I 97.3; (2 0 2), 26.37 deg, I 38.0; (1 2 2), 28.16 deg, I 77.9; (3 2 1), 36.80 deg, I 42.4; (3 1 3), 41.28 deg, I 33.7; (2 3 3), 44.88 deg, I 22.6

Atomic structure:
```
data_Te2SO4F6
_chemical_formula_sum 'Te8 S4 O16 F24'
_cell_length_a 9.060
_cell_length_b 9.083
_cell_length_c 10.148
_cell_angle_alpha 90.00
_cell_angle_beta 90.00
_cell_angle_gamma 90.00
_space_group_name_H-M_alt 'P 21 21 21'
_space_group_IT_number 19
loop_
_space_group_symop_operation_xyz
'x,y,z'
'-x+1/2,-y,z+1/2'
'x+1/2,-y+1/2,-z'
'-x,y+1/2,-z+1/2'
loop_
_atom_site_label
_atom_site_fract_x
_atom_site_fract_y
_atom_site_fract_z
_atom_site_occupancy
Te1 0.043 0.142 0.045 1
Te2 0.054 0.665 0.916 1
S1 0.168 0.451 0.208 1
O1 0.050 0.340 0.174 1
O2 0.137 0.512 0.342 1
O3 0.171 0.570 0.108 1
O4 0.184 0.621 0.713 1
F1 0.001 0.967 0.607 1
F2 0.074 0.954 0.952 1
F3 0.082 0.220 0.717 1
F4 0.108 0.188 0.465 1
F5 0.159 0.061 0.180 1
F6 0.224 0.208 0.967 1
```



> What is the formula in the third record?

Te2SO4F6